This entry pairs a crystal structure of Pm6PuSe8 with its theoretical X-ray diffraction stick pattern. Radiation: Cu Kα (λ = 1.5418 Å). Structure: a cell relaxed with GGA-PBE.

Most intense lines, 10° ≤ 2θ ≤ 90°, sorted by position:
two_theta  I_rel
12.96  16
26.09  14
30.21  100
43.25  75
53.66  26
62.82  12
71.28  34
79.33  25

Cell and atoms:
```
Pm6PuSe8
1.0
0.0000 5.9166 5.9166
5.9166 0.0000 5.9166
5.9166 5.9166 0.0000
Pm Pu Se
6 1 8
direct
0.0000 0.0000 0.5000
0.0000 0.5000 0.0000
0.0000 0.5000 0.5000
0.5000 0.0000 0.0000
0.5000 0.0000 0.5000
0.5000 0.5000 0.0000
0.0000 0.0000 0.0000
0.2500 0.2500 0.2500
0.2510 0.2510 0.7490
0.2510 0.7490 0.2510
0.2510 0.7490 0.7490
0.7490 0.2510 0.2510
0.7490 0.2510 0.7490
0.7490 0.7490 0.2510
0.7500 0.7500 0.7500
```

***

This entry pairs a crystal structure of BaPmCu with its theoretical X-ray diffraction stick pattern. Radiation: Cu Kα (λ = 1.5418 Å). Structure: a cell relaxed with GGA-PBE.

Most intense lines, 10° ≤ 2θ ≤ 90°, sorted by position:
two_theta  I_rel
23.98  39
25.20  52
26.83  80
29.99  100
30.14  80
34.82  75
37.35  48
39.56  40

Cell and atoms:
```
BaPmCu
1.0
0.0000 7.0679 4.6848
6.3274 0.0000 4.6848
6.3274 7.0679 0.0000
Ba Pm Cu
4 4 4
direct
0.2378 0.7622 0.4690
0.7190 0.7810 0.4878
0.7622 0.2378 0.5310
0.7810 0.7190 0.0122
0.2492 0.9540 0.9992
0.2508 0.4524 0.0008
0.4524 0.2508 0.2960
0.9540 0.2492 0.7976
0.1295 0.5286 0.3295
0.2376 0.9205 0.7214
0.5286 0.1295 0.0124
0.9205 0.2376 0.1205
```

***

This entry pairs a crystal structure of Tb5Dy8Zr with its theoretical X-ray diffraction stick pattern. Radiation: Cu Kα (λ = 1.5418 Å). Structure: a cell relaxed with GGA-PBE.

Most intense lines, 10° ≤ 2θ ≤ 90°, sorted by position:
two_theta  I_rel
28.04  78
28.95  50
30.33  86
31.93  69
32.12  68
34.28  100
34.94  44
35.56  35

Cell and atoms:
```
Tb5Dy8Zr
1.0
6.8302 -4.8578 0.0000
6.8302 4.8578 0.0000
-6.2426 0.0000 6.8622
Tb Dy Zr
5 8 1
direct
0.0000 0.0000 0.0000
0.2336 0.7663 0.2871
0.2337 0.7664 0.7129
0.3991 0.2477 0.0190
0.7523 0.6009 0.9810
0.0351 0.5240 0.7801
0.1672 0.4063 0.2880
0.3968 0.2456 0.6240
0.4760 0.9649 0.2199
0.5937 0.8328 0.7120
0.7544 0.6032 0.3760
0.8755 0.1195 0.6810
0.8805 0.1245 0.3190
0.6141 0.3859 0.5000
```

***

This entry pairs a crystal structure of ThPaAs2Ru2 with its theoretical X-ray diffraction stick pattern. Radiation: Cu Kα (λ = 1.5418 Å). Structure: a cell relaxed with GGA-PBE.

Most intense lines, 10° ≤ 2θ ≤ 90°, sorted by position:
two_theta  I_rel
24.17  20
33.60  100
42.52  44
46.96  8
53.50  11
55.25  25
65.20  18
72.12  22

Cell and atoms:
```
ThPaAs2Ru2
1.0
4.2520 0.0000 0.0000
-2.1260 3.6824 0.0000
0.0000 0.0000 7.7393
Th Pa As Ru
1 1 2 2
direct
0.0000 0.0000 0.0000
0.0000 0.0000 0.5000
0.3333 0.6667 0.2332
0.6667 0.3333 0.7668
0.3333 0.6667 0.7059
0.6667 0.3333 0.2941
```

***

This entry pairs a crystal structure of PuZrSi with its theoretical X-ray diffraction stick pattern. Radiation: Cu Kα (λ = 1.5418 Å). Structure: a cell relaxed with GGA-PBE.

Most intense lines, 10° ≤ 2θ ≤ 90°, sorted by position:
two_theta  I_rel
18.49  40
22.80  40
27.16  58
31.57  88
35.84  45
37.67  100
40.13  45
57.42  41

Cell and atoms:
```
PuZrSi
1.0
2.7495 -6.0848 0.0000
2.7495 6.0848 0.0000
0.0000 0.0000 7.7993
Pu Zr Si
4 4 4
direct
0.1917 0.3083 0.2500
0.3083 0.1917 0.7500
0.6917 0.8083 0.2500
0.8083 0.6917 0.7500
0.1836 0.8164 0.4007
0.3164 0.6836 0.9007
0.6836 0.3164 0.0993
0.8164 0.1836 0.5993
0.1230 0.8770 0.0670
0.3770 0.6230 0.5670
0.6230 0.3770 0.4330
0.8770 0.1230 0.9330
```

***

This entry pairs a crystal structure of HgOF2 with its theoretical X-ray diffraction stick pattern. Radiation: Cu Kα (λ = 1.5418 Å). Structure: a cell relaxed with GGA-PBE.

Most intense lines, 10° ≤ 2θ ≤ 90°, sorted by position:
two_theta  I_rel
12.13  100
24.39  21
28.07  12
28.27  11
28.88  11
30.41  14
32.62  13
34.50  17

Cell and atoms:
```
HgOF2
1.0
3.7102 0.0000 0.0000
0.0341 6.3927 0.0000
0.6226 1.1591 7.2991
Hg O F
2 2 4
direct
0.2494 0.2498 0.4990
0.7506 0.7502 0.5010
0.0968 0.4207 0.0042
0.9032 0.5793 0.9958
0.2289 0.8929 0.6380
0.2722 0.6085 0.3640
0.7278 0.3915 0.6360
0.7711 0.1071 0.3620
```

***

This entry pairs a crystal structure of Ac6OsPdPt2 with its theoretical X-ray diffraction stick pattern. Radiation: Cu Kα (λ = 1.5418 Å). Structure: a cell relaxed with GGA-PBE.

Most intense lines, 10° ≤ 2θ ≤ 90°, sorted by position:
two_theta  I_rel
15.86  17
26.64  100
34.70  69
41.14  48
45.36  25
49.69  18
54.89  18
68.24  20

Cell and atoms:
```
Ac6OsPdPt2
1.0
7.5957 0.0000 0.0000
-3.7894 6.5867 0.0000
-3.7973 -2.1934 7.0531
Ac Os Pd Pt
6 1 1 2
direct
0.0000 0.0000 0.0000
0.9998 0.1725 0.5135
0.3427 0.6568 0.0004
0.3736 0.8581 0.5138
0.6847 0.4841 0.5138
0.6864 0.3429 0.0001
0.8595 0.2581 0.7742
0.8581 0.7572 0.2723
0.4988 0.0782 0.2334
0.5048 0.5811 0.7430
```

***

This entry pairs a crystal structure of Dy6ZnCo with its theoretical X-ray diffraction stick pattern. Radiation: Cu Kα (λ = 1.5418 Å). Structure: a cell relaxed with GGA-PBE.

Most intense lines, 10° ≤ 2θ ≤ 90°, sorted by position:
two_theta  I_rel
27.58  29
31.30  18
33.08  100
36.38  52
48.73  21
52.39  18
60.12  14
63.38  30

Cell and atoms:
```
Dy6ZnCo
1.0
4.9393 0.0000 0.0000
0.0000 4.9393 0.0000
0.0000 0.0000 17.1461
Dy Zn Co
12 2 2
direct
0.0000 0.0000 0.2483
0.0000 0.0000 0.7517
0.0000 0.5000 0.0972
0.0000 0.5000 0.4028
0.0000 0.5000 0.5972
0.0000 0.5000 0.9028
0.5000 0.0000 0.0972
0.5000 0.0000 0.4028
0.5000 0.0000 0.5972
0.5000 0.0000 0.9028
0.5000 0.5000 0.2517
0.5000 0.5000 0.7483
0.0000 0.0000 0.0000
0.5000 0.5000 0.5000
0.0000 0.0000 0.5000
0.5000 0.5000 0.0000
```

***

This entry pairs a crystal structure of Tb5DyY2Th with its theoretical X-ray diffraction stick pattern. Radiation: Cu Kα (λ = 1.5418 Å). Structure: a cell relaxed with GGA-PBE.

Most intense lines, 10° ≤ 2θ ≤ 90°, sorted by position:
two_theta  I_rel
26.53  13
31.26  36
31.88  100
33.13  9
34.08  10
34.42  19
56.02  20
63.25  9

Cell and atoms:
```
Tb5DyY2Th
1.0
2.8615 -10.7370 0.0000
2.8615 10.7370 0.0000
0.0000 0.0000 9.7608
Tb Dy Y Th
10 2 4 2
direct
0.0154 0.9846 0.5000
0.2727 0.7273 0.8048
0.3035 0.6965 0.1969
0.3996 0.6004 0.5233
0.4690 0.5310 0.2246
0.5310 0.4690 0.7246
0.6004 0.3996 0.0233
0.6965 0.3035 0.6969
0.7273 0.2727 0.3048
0.9846 0.0154 0.0000
0.1902 0.8098 0.4994
0.8098 0.1902 0.9994
0.1159 0.8841 0.8125
0.1273 0.8727 0.1955
0.8727 0.1273 0.6955
0.8841 0.1159 0.3125
0.4058 0.5942 0.9067
0.5942 0.4058 0.4067
```

***

This entry pairs a crystal structure of K2H2Pd with its theoretical X-ray diffraction stick pattern. Radiation: Cu Kα (λ = 1.5418 Å). Structure: a cell relaxed with GGA-PBE.

Most intense lines, 10° ≤ 2θ ≤ 90°, sorted by position:
two_theta  I_rel
18.46  100
20.87  44
25.43  46
32.46  51
33.28  57
34.65  40
38.72  36
39.12  35

Cell and atoms:
```
K2H2Pd
1.0
8.3948 0.0000 0.0000
0.0000 7.4265 0.0000
-1.5268 0.0000 7.8158
K H Pd
8 8 4
direct
0.0509 0.2288 0.4738
0.0509 0.2712 0.9738
0.3900 0.5708 0.7075
0.3900 0.9292 0.2075
0.6100 0.0708 0.7925
0.6100 0.4292 0.2925
0.9491 0.7288 0.0262
0.9491 0.7712 0.5262
0.1822 0.7300 0.3421
0.1822 0.7700 0.8421
0.2929 0.1971 0.7686
0.2929 0.3029 0.2686
0.7071 0.6971 0.7314
0.7071 0.8029 0.2314
0.8178 0.2300 0.1579
0.8178 0.2700 0.6579
0.2373 0.5188 0.3036
0.2373 0.9812 0.8036
0.7627 0.0188 0.1964
0.7627 0.4812 0.6964
```

***

This entry pairs a crystal structure of Ho2ErThN4 with its theoretical X-ray diffraction stick pattern. Radiation: Cu Kα (λ = 1.5418 Å). Structure: a cell relaxed with GGA-PBE.

Most intense lines, 10° ≤ 2θ ≤ 90°, sorted by position:
two_theta  I_rel
31.25  100
36.20  46
36.33  23
52.12  16
52.22  32
62.04  30
62.21  15
65.19  16

Cell and atoms:
```
Ho2ErThN4
1.0
6.0630 0.0000 0.0000
0.0000 3.5120 0.0000
-2.0057 0.0000 5.7219
Ho Er Th N
2 1 1 4
direct
0.0000 0.0000 0.0000
0.5000 0.5000 0.0000
0.0000 0.5000 0.5000
0.5000 0.0000 0.5000
0.2455 0.5000 0.2467
0.2484 0.0000 0.7496
0.7516 0.0000 0.2504
0.7545 0.5000 0.7533
```

***

This entry pairs a crystal structure of Ho3Zn8 with its theoretical X-ray diffraction stick pattern. Radiation: Cu Kα (λ = 1.5418 Å). Structure: a cell relaxed with GGA-PBE.

Most intense lines, 10° ≤ 2θ ≤ 90°, sorted by position:
two_theta  I_rel
33.17  16
34.46  54
35.16  100
40.85  33
42.15  48
51.82  17
54.49  29
68.93  21

Cell and atoms:
```
Ho3Zn8
1.0
-1.7643 2.2090 13.4873
1.7643 -2.2090 13.4873
1.7643 2.2090 -13.4873
Ho Zn
3 8
direct
0.0000 0.0000 0.0000
0.3561 0.8561 0.5000
0.6439 0.1439 0.5000
0.0940 0.5940 0.5000
0.1877 0.6877 0.5000
0.2591 0.2591 0.0000
0.4522 0.4522 0.0000
0.5478 0.5478 0.0000
0.7409 0.7409 0.0000
0.8123 0.3123 0.5000
0.9060 0.4060 0.5000
```